(1)
Diffraction record for Ac2InBr. The X-ray diffraction stick pattern is computed, not measured: it uses a cell relaxed with PBE and Cu Kα (λ = 1.5418 Å).
Intensities are scaled so that the largest is 100.

Largest 11 diffraction maxima, sorted by position, 2θ = 10–80°:
d = 4.716 Å, intensity 1, (1 1 1); d = 4.084 Å, intensity 16, (2 0 0); d = 2.888 Å, intensity 100, (2 2 0); d = 2.358 Å, intensity 6, (2 2 2); d = 2.042 Å, intensity 19, (4 0 0); d = 1.826 Å, intensity 8, (4 2 0); d = 1.667 Å, intensity 40, (4 2 2); d = 1.444 Å, intensity 12, (4 4 0); d = 1.361 Å, intensity 4, (6 0 0); d = 1.291 Å, intensity 17, (6 2 0); d = 1.231 Å, intensity 2, (6 2 2)

Atomic structure:
Unit cell a=8.1679 b=8.1679 c=8.1679 alpha=90.00 beta=90.00 gamma=90.00
Space group Fm-3m (No. 225)
Symmetry-distinct sites (fractional):
Ac 0.2500 0.2500 0.2500 x8
In 0.0000 0.0000 0.0000 x4
Br 0.0000 0.0000 0.5000 x4


(2)
Diffraction record for Ac3InBr3. The X-ray diffraction stick pattern is computed, not measured: it uses a cell relaxed with PBE and Cu Kα (λ = 1.5418 Å).
Intensities are scaled so that the largest is 100.

Largest 12 diffraction maxima, sorted by position, 2θ = 10–80°:
d = 6.506 Å, intensity 31, (1 0 0); d = 4.600 Å, intensity 15, (1 1 0); d = 3.756 Å, intensity 15, (1 1 1); d = 3.253 Å, intensity 100, (2 0 0); d = 2.909 Å, intensity 18, (2 1 0); d = 2.300 Å, intensity 78, (2 2 0); d = 2.169 Å, intensity 10, (3 0 0); d = 1.962 Å, intensity 9, (3 1 1); d = 1.878 Å, intensity 28, (2 2 2); d = 1.626 Å, intensity 13, (4 0 0); d = 1.455 Å, intensity 37, (4 2 0); d = 1.328 Å, intensity 27, (4 2 2)

Atomic structure:
Unit cell a=6.5057 b=6.5057 c=6.5057 alpha=90.00 beta=90.00 gamma=90.00
Space group Pm-3m (No. 221)
Symmetry-distinct sites (fractional):
Ac 0.0000 0.0000 0.5000 x3
In 0.0000 0.0000 0.0000 x1
Br 0.0000 0.5000 0.5000 x3


(3)
Diffraction record for NaAcIn2Br6. The X-ray diffraction stick pattern is computed, not measured: it uses a cell relaxed with PBE and Cu Kα (λ = 1.5418 Å).
Intensities are scaled so that the largest is 100.

Largest 12 diffraction maxima, sorted by position, 2θ = 10–80°:
d = 6.662 Å, intensity 44, (1 0 1); d = 5.821 Å, intensity 42, (0 1 2); d = 4.172 Å, intensity 40, (1 0 4); d = 4.062 Å, intensity 25, (1 1 0); d = 3.501 Å, intensity 92, (1 1 3); d = 2.910 Å, intensity 60, (0 2 4); d = 2.633 Å, intensity 100, (2 -1 6); d = 2.366 Å, intensity 35, (2 1 4); d = 2.345 Å, intensity 53, (3 0 0); d = 2.003 Å, intensity 19, (2 -1 9); d = 1.988 Å, intensity 18, (1 0 10); d = 1.541 Å, intensity 18, (5 -2 4)

Atomic structure:
Unit cell a=8.1232 b=8.1232 c=20.7285 alpha=90.00 beta=90.00 gamma=120.00
Space group R3 (No. 146, hexagonal axes)
Symmetry-distinct sites (fractional):
Na 0.0000 0.0000 0.0000 x3
Ac 0.0000 0.0000 0.4958 x3
In 0.0000 0.0000 0.2892 x3
In 0.0000 0.0000 0.7925 x3
Br 0.0677 0.3565 0.0684 x9
Br 0.0706 0.7195 0.5702 x9